Diffraction record for Pm6SnGe. The powder XRD pattern is calculated, not measured: it uses a structure optimized by DFT (GGA-PBE) and a wavelength of 1.5418 Å.

Most intense lines, 15° ≤ 2θ ≤ 90°, low angle first:
index  Position (°2θ)  intensity
1 0 0  18.29  24
1 1 0  25.97  21
0 0 3  27.59  12
1 1 2  31.95  1000
2 0 0  37.06  502
2 1 0  41.63  11
2 2 0  53.42  350
3 1 2  63.61  411
2 2 4  66.80  118
4 0 0  78.89  38
0 0 8  79.02  17
3 3 2  87.68  174

Structure:
```
data_Pm6SnGe
_symmetry_space_group_name_H-M 'P 4/m m m'
_symmetry_Int_Tables_number 123
_symmetry_space_group_name_Hall '-P 4 2'
_cell_length_a 4.8534
_cell_length_b 4.8534
_cell_length_c 9.6942
_cell_angle_alpha 90.00
_cell_angle_beta 90.00
_cell_angle_gamma 90.00
loop_
_atom_site_label
_atom_site_fract_x
_atom_site_fract_y
_atom_site_fract_z
Pm1 0.0000 0.0000 0.0000
Pm2 0.0000 0.0000 0.5000
Pm3 0.0000 0.5000 0.2425
Sn1 0.5000 0.5000 0.5000
Ge1 0.5000 0.5000 0.0000
```